The following is a simulated XRD peak list of MgZr4Cu2S8. It was derived from a PBE-relaxed structure, using Cu Ka.

Peak list (10 most intense, 2θ from 15° to 90°, sorted by position)
two_theta  I_rel
23.17  49
27.24  100
32.99  49
36.05  19
40.70  33
43.29  68
47.35  94
64.18  20
66.09  24
88.14  20

Cell and atoms:
Unit cell a=7.6791 b=7.6791 c=7.6791 alpha=60.00 beta=60.00 gamma=60.00
Fractional positions:
Mg: 0.0000 0.0000 0.0000
Zr: 0.4362 0.8546 0.8546
Zr: 0.8546 0.4362 0.8546
Zr: 0.8546 0.8546 0.4362
Zr: 0.8546 0.8546 0.8546
Cu: 0.2500 0.2500 0.2500
Cu: 0.5000 0.5000 0.5000
S: 0.1223 0.1223 0.1223
S: 0.1223 0.1223 0.6332
S: 0.1223 0.6332 0.1223
S: 0.1314 0.6229 0.6229
S: 0.6229 0.1314 0.6229
S: 0.6229 0.6229 0.1314
S: 0.6229 0.6229 0.6229
S: 0.6332 0.1223 0.1223

***

The following is a simulated XRD peak list of Mg6CuSb. It was derived from a PBE-relaxed structure, using Cu Ka.

Peak list (10 most intense, 2θ from 15° to 90°, sorted by position)
two_theta  I_rel
16.70  38
18.15  30
24.76  29
32.32  33
36.79  32
37.32  100
38.60  42
49.76  19
59.49  17
72.03  19

Cell and atoms:
Unit cell a=4.8864 b=6.2237 c=6.2237 alpha=62.89 beta=90.00 gamma=90.00
Fractional positions:
Mg: 0.0000 0.0000 0.0000
Mg: 0.0000 0.0127 0.4726
Mg: 0.0000 0.4726 0.0127
Mg: 0.0000 0.4918 0.4918
Mg: 0.5000 0.1644 0.6681
Mg: 0.5000 0.6681 0.1644
Cu: 0.5000 0.1634 0.1634
Sb: 0.5000 0.6661 0.6661